# 1
This entry pairs a crystal structure of LiMgAlAu2 with its theoretical X-ray powder pattern. Radiation: Cu Kα. Structure: a GGA-PBE-relaxed structure.
Kinematic intensities with the Lorentz-polarization factor, no thermal factor.

Principal peaks in the range 2θ = 10–90°, sorted by position:
| 2θ/deg | intensity |
| --- | --- |
| 20.44 | 40 |
| 25.35 | 100 |
| 27.36 | 25 |
| 28.76 | 32 |
| 37.93 | 66 |
| 38.67 | 73 |

Atomic structure:
Cell lengths 6.225, 4.170, 6.536 Å; angles 90.00, 94.09, 90.00 degrees
Space group P2_1/m (No. 11)
Inequivalent atoms, fractional coordinates:
Li  0.174  0.250  0.052 (multiplicity 2)
Mg  0.259  0.750  0.776 (multiplicity 2)
Al  0.318  0.250  0.445 (multiplicity 2)
Au  0.023  0.750  0.335 (multiplicity 2)
Au  0.445  0.750  0.195 (multiplicity 2)

# 2
This entry pairs a crystal structure of Ba2PaBeSe5 with its theoretical X-ray powder pattern. Radiation: Cu Kα. Structure: a GGA-PBE-relaxed structure.
Kinematic intensities with the Lorentz-polarization factor, no thermal factor.

Principal peaks in the range 2θ = 10–90°, sorted by position:
| 2θ/deg | intensity |
| --- | --- |
| 16.15 | 21 |
| 21.80 | 20 |
| 29.28 | 100 |
| 29.66 | 30 |
| 34.80 | 38 |
| 52.92 | 24 |

Atomic structure:
Cell lengths 4.223, 18.531, 13.620 Å; angles 90.00, 90.00, 90.00 degrees
Space group Cmc2_1 (No. 36)
Inequivalent atoms, fractional coordinates:
Ba  0.000  0.118  0.000 (multiplicity 4)
Ba  0.000  0.121  0.356 (multiplicity 4)
Pa  0.000  0.191  0.687 (multiplicity 4)
Be  0.000  0.435  0.077 (multiplicity 4)
Se  0.000  0.041  0.663 (multiplicity 4)
Se  0.000  0.306  0.330 (multiplicity 4)
Se  0.000  0.313  0.039 (multiplicity 4)
Se  0.000  0.342  0.678 (multiplicity 4)
Se  0.000  0.495  0.939 (multiplicity 4)

# 3
This entry pairs a crystal structure of Tm6PuRu5 with its theoretical X-ray powder pattern. Radiation: Cu Kα. Structure: a GGA-PBE-relaxed structure.
Kinematic intensities with the Lorentz-polarization factor, no thermal factor.

Principal peaks in the range 2θ = 10–90°, sorted by position:
| 2θ/deg | intensity |
| --- | --- |
| 36.94 | 100 |
| 37.13 | 24 |
| 37.69 | 25 |
| 53.94 | 17 |
| 66.80 | 15 |
| 67.54 | 17 |

Atomic structure:
Cell lengths 4.774, 6.970, 14.529 Å; angles 90.00, 90.00, 90.00 degrees
Space group Immm (No. 71)
Inequivalent atoms, fractional coordinates:
Tm  0.000  0.222  0.000 (multiplicity 4)
Tm  0.000  0.263  0.325 (multiplicity 8)
Pu  0.000  0.000  0.500 (multiplicity 2)
Ru  0.000  0.000  0.168 (multiplicity 4)
Ru  0.000  0.500  0.153 (multiplicity 4)
Ru  0.000  0.500  0.500 (multiplicity 2)

# 4
This entry pairs a crystal structure of LaNd3Bi2 with its theoretical X-ray powder pattern. Radiation: Cu Kα. Structure: a GGA-PBE-relaxed structure.
Kinematic intensities with the Lorentz-polarization factor, no thermal factor.

Principal peaks in the range 2θ = 10–90°, sorted by position:
| 2θ/deg | intensity |
| --- | --- |
| 28.72 | 83 |
| 29.41 | 40 |
| 33.49 | 100 |
| 35.24 | 34 |
| 38.50 | 62 |
| 49.18 | 39 |

Atomic structure:
Cell lengths 4.676, 4.676, 9.110 Å; angles 90.00, 90.00, 90.00 degrees
Space group P-4m2 (No. 115)
Inequivalent atoms, fractional coordinates:
La  0.000  0.000  0.000 (multiplicity 1)
Nd  0.000  0.500  0.356 (multiplicity 2)
Nd  0.500  0.500  0.000 (multiplicity 1)
Bi  0.000  0.500  0.718 (multiplicity 2)